For Li5Mn3O8, a crystal structure in Alexandria, relaxed with PBE+U gives the computed XRD peak list in this record (Cu Kα (λ = 1.5418 Å)).
Neutral-atom scattering factors, no anomalous dispersion.

The 10 most intense peaks (10 to 80 degrees two-theta), in order of rising 2θ:
2θ/deg, Rel. int.
11.52, 23
14.06, 13
18.49, 100
36.17, 23
36.34, 16
43.64, 63
44.37, 30
57.54, 12
63.97, 17
64.02, 16

Atomic structure:
Lattice parameters (Å, degrees): 6.467 6.467 9.787 127.16 127.16 25.94
Atoms (fractional coordinates):
Li 0.000 0.000 0.000
Li 0.121 0.121 0.361
Li 0.385 0.385 0.126
Li 0.615 0.615 0.874
Li 0.879 0.879 0.639
Mn 0.258 0.258 0.757
Mn 0.500 0.500 0.500
Mn 0.742 0.742 0.243
O 0.062 0.062 0.672
O 0.199 0.199 0.085
O 0.310 0.310 0.417
O 0.423 0.423 0.805
O 0.577 0.577 0.195
O 0.690 0.690 0.583
O 0.801 0.801 0.915
O 0.938 0.938 0.328